This entry pairs a crystal structure of Sr5TmTl6 with its calculated powder diffraction line list. Radiation: Cu Ka. Structure: a cell relaxed with GGA-PBE.
Neutral-atom scattering factors, no anomalous dispersion.

Crystal structure
```
data_Sr5TmTl6
_space_group_name_H-M_alt 'P 1 2/m 1'
_space_group_IT_number 10
_cell_length_a 5.7169
_cell_length_b 8.0388
_cell_length_c 9.0513
_cell_angle_alpha 90.00
_cell_angle_beta 108.14
_cell_angle_gamma 90.00
loop_
_space_group_symop_operation_xyz
'x,y,z'
'-x,-y,-z'
'-x,y,-z'
'x,-y,z'
loop_
_atom_site_label
_atom_site_fract_x
_atom_site_fract_y
_atom_site_fract_z
Sr1 0.0000 0.0000 0.0000
Sr2 0.3291 0.0000 0.6587
Sr3 0.3300 0.5000 0.6610
Tm1 0.0000 0.5000 0.0000
Tl1 0.1576 0.2657 0.3146
Tl2 0.5000 0.2702 0.0000
```

Largest 12 diffraction maxima, in order of rising 2θ, 10 to 90 degrees two-theta:
| two_theta | I (rel.) | hkl |
| --- | --- | --- |
| 21.90 | 6 | 1 0 1 |
| 31.25 | 51 | 2 0 -1 |
| 31.36 | 100 | 1 2 1 |
| 44.66 | 9 | 2 0 2 |
| 44.88 | 9 | 2 0 -4 |
| 45.11 | 9 | 0 4 0 |
| 55.54 | 9 | 1 2 4 |
| 55.68 | 19 | 3 2 0 |
| 55.84 | 19 | 3 2 -3 |
| 55.93 | 9 | 2 4 -1 |
| 65.33 | 9 | 4 0 -2 |
| 74.61 | 7 | 1 6 1 |